This entry pairs a crystal structure of Na3BiBPO7 with its simulated powder X-ray diffraction pattern. Radiation: Cu Kα. Structure: the PBE geometry in Alexandria.
Peak positions follow from Bragg's law for the DFT cell and can differ from measured ones.

Most intense lines, 10° ≤ 2θ ≤ 90°, by angle:
(hkl), 2θ/deg, I_rel
0 1 1, 15.65, 1000
1 0 -1, 18.83, 627
1 1 0, 20.72, 748
0 2 0, 25.12, 811
1 0 2, 25.38, 548
2 0 0, 33.29, 620

abc: 5.3850 7.0896 9.4133
angles: 90.00 91.10 90.00
Space group P2_1/m (No. 11)
One atom of each set of equivalent atoms:
Na 0.2394 0.2500 0.4380 x2
Na 0.2482 0.5098 0.7365 x4
Bi 0.2270 0.7500 0.1425 x2
B 0.2613 0.7500 0.4295 x2
P 0.2822 0.2500 0.1002 x2
O 0.0329 0.7500 0.3508 x2
O 0.1710 0.0764 0.1796 x4
O 0.2075 0.2500 0.9383 x2
O 0.2734 0.7500 0.5720 x2
O 0.4320 0.7500 0.8869 x2
O 0.4743 0.7500 0.3431 x2